Entry 1:
Starting from a PBE+U-relaxed structure, the PXRD pattern of SrCa7Ti3Mn5O22 was computed for a wavelength of 1.5418 Å.
Peak positions follow from Bragg's law for the DFT cell and can differ from measured ones.

Peak list (10 most intense, 15° ≤ 2θ ≤ 90°, low angle first)
| 2θ (°) | I (rel.) | (hkl) |
| --- | --- | --- |
| 32.4 | 29 | 0 2 2 |
| 32.6 | 100 | 0 2 -2 |
| 32.7 | 28 | 2 -2 0 |
| 46.5 | 22 | 0 0 4 |
| 46.7 | 16 | 0 4 0 |
| 47.1 | 21 | 4 0 0 |
| 57.9 | 10 | -2 2 4 |
| 58.0 | 11 | 2 4 2 |
| 58.2 | 16 | 2 4 -2 |
| 58.4 | 15 | 4 2 -2 |

```
data_SrCa7Ti3Mn5O22
_chemical_formula_sum 'Sr1 Ca7 Ti3 Mn5 O22'
_space_group_name_H-M_alt 'P 1'
_space_group_IT_number 1
_space_group_name_Hall 'P 1'
_cell_length_a 7.718
_cell_length_b 7.782
_cell_length_c 7.811
_cell_angle_alpha 89.69
_cell_angle_beta 89.92
_cell_angle_gamma 89.96
loop_
_atom_site_label
_atom_site_type_symbol
_atom_site_fract_x
_atom_site_fract_y
_atom_site_fract_z
_atom_site_occupancy
Sr1 Sr 0.000 0.000 0.000 1
Ca1 Ca 0.498 0.503 0.507 1
Ca2 Ca 0.511 0.995 0.512 1
Ca3 Ca 0.512 0.491 0.039 1
Ca4 Ca 0.517 0.986 0.994 1
Ca5 Ca 0.969 0.509 0.492 1
Ca6 Ca 0.979 0.503 0.024 1
Ca7 Ca 0.998 0.013 0.507 1
Ti1 Ti 0.252 0.255 0.261 1
Ti2 Ti 0.254 0.274 0.760 1
Ti3 Ti 0.254 0.741 0.750 1
Mn1 Mn 0.256 0.773 0.257 1
Mn2 Mn 0.745 0.260 0.256 1
Mn3 Mn 0.747 0.234 0.750 1
Mn4 Mn 0.747 0.745 0.259 1
Mn5 Mn 0.752 0.740 0.752 1
O1 O 0.001 0.721 0.241 1
O2 O 0.002 0.713 0.770 1
O3 O 0.031 0.192 0.742 1
O4 O 0.198 0.021 0.250 1
O5 O 0.240 0.850 0.542 1
O6 O 0.241 0.304 0.001 1
O7 O 0.267 0.262 0.497 1
O8 O 0.267 0.828 0.969 1
O9 O 0.277 0.507 0.719 1
O10 O 0.304 0.531 0.266 1
O11 O 0.466 0.168 0.761 1
O12 O 0.503 0.209 0.232 1
O13 O 0.508 0.754 0.727 1
O14 O 0.510 0.825 0.261 1
O15 O 0.704 0.504 0.294 1
O16 O 0.732 0.712 0.011 1
O17 O 0.739 0.483 0.702 1
O18 O 0.747 0.191 0.492 1
O19 O 0.756 0.280 0.007 1
O20 O 0.757 0.986 0.797 1
O21 O 0.778 0.797 0.497 1
O22 O 0.993 0.299 0.263 1
```

---

Entry 2:
Starting from a PBE+U-relaxed structure, the PXRD pattern of TbVO2 was computed for a wavelength of 1.5418 Å.
Peak positions follow from Bragg's law for the DFT cell and can differ from measured ones.

Peak list (10 most intense, 15° ≤ 2θ ≤ 90°, low angle first)
| 2θ (°) | I (rel.) | (hkl) |
| --- | --- | --- |
| 16.1 | 53 | 1 0 1 |
| 30.5 | 44 | 0 0 4 |
| 32.6 | 100 | 2 0 2 |
| 33.1 | 21 | 2 1 1 |
| 41.1 | 54 | 2 2 0 |
| 52.0 | 38 | 2 2 4 |
| 55.5 | 31 | 2 0 6 |
| 59.5 | 17 | 4 0 0 |
| 69.5 | 23 | 4 2 2 |
| 85.7 | 17 | 4 2 6 |

```
data_TbVO2
_chemical_formula_sum 'Tb8 V8 O16'
_space_group_name_H-M_alt 'I 41/a m d'
_space_group_IT_number 141
_cell_length_a 6.219
_cell_length_b 6.219
_cell_length_c 11.729
_cell_angle_alpha 90.00
_cell_angle_beta 90.00
_cell_angle_gamma 90.00
loop_
_space_group_symop_operation_xyz
'x,y,z'
'-x,-y,-z'
'-y+1/4,x+3/4,z+1/4'
'y+1/4,-x+3/4,-z+1/4'
'-x+1/2,-y,z+1/2'
'x+1/2,y,-z+1/2'
'y+1/4,-x+1/4,z+3/4'
'-y+1/4,x+1/4,-z+3/4'
'x,-y,-z'
'-x,y,z'
'-y+1/4,-x+1/4,-z+3/4'
'y+1/4,x+1/4,z+3/4'
'-x+1/2,y,-z+1/2'
'x+1/2,-y,z+1/2'
'y+1/4,x+3/4,-z+1/4'
'-y+1/4,-x+3/4,z+1/4'
'x+1/2,y+1/2,z+1/2'
'-x+1/2,-y+1/2,-z+1/2'
'-y+3/4,x+1/4,z+3/4'
'y+3/4,-x+1/4,-z+3/4'
'-x,-y+1/2,z'
'x,y+1/2,-z'
'y+3/4,-x+3/4,z+1/4'
'-y+3/4,x+3/4,-z+1/4'
'x+1/2,-y+1/2,-z+1/2'
'-x+1/2,y+1/2,z+1/2'
'-y+3/4,-x+3/4,-z+1/4'
'y+3/4,x+3/4,z+1/4'
'-x,y+1/2,-z'
'x,-y+1/2,z'
'y+3/4,x+1/4,-z+3/4'
'-y+3/4,-x+1/4,z+3/4'
loop_
_atom_site_label
_atom_site_type_symbol
_atom_site_fract_x
_atom_site_fract_y
_atom_site_fract_z
_atom_site_occupancy
Tb1 Tb 0.000 0.000 0.000 1
V1 V 0.000 0.000 0.500 1
O1 O 0.000 0.016 0.201 1
```

---

Entry 3:
Starting from a PBE+U-relaxed structure, the PXRD pattern of Cs2VH2O2F4 was computed for a wavelength of 1.5418 Å.
Peak positions follow from Bragg's law for the DFT cell and can differ from measured ones.

Peak list (10 most intense, 15° ≤ 2θ ≤ 90°, low angle first)
| 2θ (°) | I (rel.) | (hkl) |
| --- | --- | --- |
| 24.5 | 100 | 1 0 2 |
| 25.0 | 61 | 0 2 -2 |
| 25.3 | 90 | 1 2 0 |
| 25.6 | 32 | 2 -1 1 |
| 27.2 | 49 | -1 2 2 |
| 33.7 | 20 | 2 -2 2 |
| 36.1 | 49 | 1 0 -4 |
| 38.5 | 32 | 1 -4 0 |
| 43.2 | 26 | 2 2 -4 |
| 47.5 | 20 | -3 4 2 |

```
data_Cs2VH2O2F4
_chemical_formula_sum 'Cs8 V4 H8 O8 F16'
_space_group_name_H-M_alt 'P -1'
_space_group_IT_number 2
_space_group_name_Hall '-P 1'
_cell_length_a 8.643
_cell_length_b 9.383
_cell_length_c 9.992
_cell_angle_alpha 94.66
_cell_angle_beta 105.48
_cell_angle_gamma 104.35
loop_
_atom_site_label
_atom_site_type_symbol
_atom_site_fract_x
_atom_site_fract_y
_atom_site_fract_z
_atom_site_occupancy
Cs1 Cs 0.011 0.253 0.003 1
Cs2 Cs 0.011 0.753 0.503 1
Cs3 Cs 0.387 0.097 0.347 1
Cs4 Cs 0.387 0.597 0.847 1
V1 V 0.246 0.061 0.811 1
V2 V 0.246 0.561 0.311 1
H1 H 0.401 0.272 0.631 1
H2 H 0.401 0.428 0.569 1
H3 H 0.401 0.772 0.131 1
H4 H 0.401 0.928 0.069 1
O1 O 0.037 0.009 0.759 1
O2 O 0.038 0.509 0.259 1
O3 O 0.472 0.368 0.618 1
O4 O 0.472 0.868 0.118 1
F1 F 0.277 0.106 0.628 1
F2 F 0.277 0.606 0.128 1
F3 F 0.278 0.033 0.011 1
F4 F 0.278 0.532 0.511 1
F5 F 0.286 0.274 0.870 1
F6 F 0.286 0.774 0.371 1
F7 F 0.287 0.369 0.272 1
F8 F 0.287 0.869 0.772 1
```

---

Entry 4:
Starting from a PBE+U-relaxed structure, the PXRD pattern of K4Na2FeH3F12 was computed for a wavelength of 1.5418 Å.
Peak positions follow from Bragg's law for the DFT cell and can differ from measured ones.

Peak list (10 most intense, 15° ≤ 2θ ≤ 90°, low angle first)
| 2θ (°) | I (rel.) | (hkl) |
| --- | --- | --- |
| 28.9 | 53 | 1 1 -2 |
| 29.1 | 29 | 0 2 0 |
| 30.5 | 69 | 1 1 2 |
| 35.9 | 27 | 2 0 -2 |
| 36.1 | 59 | 0 2 2 |
| 38.4 | 19 | 2 0 2 |
| 42.4 | 52 | 0 0 4 |
| 42.6 | 100 | 2 2 0 |
| 59.9 | 28 | 2 2 -4 |
| 63.4 | 30 | 2 2 4 |

```
data_K4Na2FeH3F12
_chemical_formula_sum 'K4 Na2 Fe1 H3 F12'
_space_group_name_H-M_alt 'P 1 2 1'
_space_group_IT_number 3
_space_group_name_Hall 'P 2y'
_cell_length_a 5.882
_cell_length_b 6.139
_cell_length_c 8.549
_cell_angle_alpha 90.00
_cell_angle_beta 94.00
_cell_angle_gamma 90.00
loop_
_atom_site_label
_atom_site_type_symbol
_atom_site_fract_x
_atom_site_fract_y
_atom_site_fract_z
_atom_site_occupancy
K1 K 0.007 0.000 0.237 1
K2 K 0.452 0.509 0.740 1
Na1 Na 0.000 0.498 0.000 1
Na2 Na 0.500 0.014 0.500 1
Fe1 Fe 0.500 0.004 0.000 1
H1 H 0.000 0.759 0.500 1
H2 H 0.129 0.386 0.373 1
F1 F 0.028 0.467 0.267 1
F2 F 0.196 0.776 0.509 1
F3 F 0.243 0.292 0.462 1
F4 F 0.263 0.774 0.994 1
F5 F 0.266 0.230 0.993 1
F6 F 0.490 0.999 0.769 1
```

---

Entry 5:
Starting from a PBE+U-relaxed structure, the PXRD pattern of CaV2O4 was computed for a wavelength of 1.5418 Å.
Peak positions follow from Bragg's law for the DFT cell and can differ from measured ones.

Peak list (10 most intense, 15° ≤ 2θ ≤ 90°, low angle first)
| 2θ (°) | I (rel.) | (hkl) |
| --- | --- | --- |
| 28.1 | 33 | 0 1 4 |
| 28.5 | 25 | 1 1 0 |
| 33.1 | 48 | 1 0 5 |
| 33.3 | 100 | 1 1 3 |
| 33.5 | 53 | 2 0 1 |
| 40.4 | 58 | 2 0 4 |
| 53.4 | 32 | 2 1 5 |
| 53.6 | 24 | 3 0 3 |
| 58.2 | 49 | 0 2 8 |
| 58.9 | 52 | 2 2 0 |

```
data_CaV2O4
_chemical_formula_sum 'Ca6 V12 O24'
_space_group_name_H-M_alt 'P 3 m 1'
_space_group_IT_number 156
_space_group_name_Hall 'P 3 -2"'
_cell_length_a 6.2728
_cell_length_b 6.2728
_cell_length_c 15.6310
_cell_angle_alpha 90.00
_cell_angle_beta 90.00
_cell_angle_gamma 120.00
loop_
_atom_site_label
_atom_site_type_symbol
_atom_site_fract_x
_atom_site_fract_y
_atom_site_fract_z
_atom_site_occupancy
Ca1 Ca 0.0000 0.0000 0.0000 1
Ca2 Ca 0.0000 0.0000 0.2446 1
Ca3 Ca 0.0000 0.0000 0.6188 1
Ca4 Ca 0.3333 0.6667 0.3330 1
Ca5 Ca 0.3333 0.6667 0.9583 1
Ca6 Ca 0.6667 0.3333 0.6680 1
V1 V 0.0045 0.5023 0.1249 1
V2 V 0.1626 0.3251 0.7887 1
V3 V 0.3333 0.6667 0.5777 1
V4 V 0.3409 0.1705 0.4531 1
V5 V 0.6667 0.3333 0.2864 1
V6 V 0.6667 0.3333 0.9095 1
O1 O 0.0000 0.0000 0.3918 1
O2 O 0.0000 0.0000 0.8588 1
O3 O 0.0097 0.5048 0.8600 1
O4 O 0.1670 0.3341 0.5257 1
O5 O 0.1821 0.3642 0.0602 1
O6 O 0.2953 0.1476 0.7213 1
O7 O 0.3333 0.6667 0.1943 1
O8 O 0.3333 0.6667 0.7045 1
O9 O 0.3857 0.1928 0.1998 1
O10 O 0.5255 0.0510 0.3763 1
O11 O 0.6667 0.3333 0.0348 1
O12 O 0.6667 0.3333 0.5200 1
```

---

> What is the formula in the first record?

SrCa7Ti3Mn5O22